[1]
Starting from DFT lattice parameters and positions (PBE), the powder diffractogram of Y6UO12 was simulated for Cu Kα (λ = 1.5418 Å).

Structure:
```
Y6UO12
1.0
5.0172 2.8967 3.1553
-5.0172 2.8967 3.1553
0.0000 -5.7934 3.1553
Y U O
6 1 12
direct
0.1096 0.8220 0.6451 Y
0.1780 0.3549 0.8904 Y
0.3549 0.8904 0.1780 Y
0.6451 0.1096 0.8220 Y
0.8220 0.6451 0.1096 Y
0.8904 0.1780 0.3549 Y
0.5000 0.5000 0.5000 U
0.0727 0.9116 0.3225 O
0.0884 0.6775 0.9273 O
0.1925 0.4193 0.5468 O
0.3225 0.0727 0.9116 O
0.4193 0.5468 0.1925 O
0.4532 0.8075 0.5807 O
0.5468 0.1925 0.4193 O
0.5807 0.4532 0.8075 O
0.6775 0.9273 0.0884 O
0.8075 0.5807 0.4532 O
0.9116 0.3225 0.0727 O
0.9273 0.0884 0.6775 O
```

Most intense lines, 2θ from 5° to 70°, by angle:
13.83°, I = 13; 21.38°, I = 19; 22.52°, I = 16; 28.28°, I = 29; 28.77°, I = 100; 33.20°, I = 36; 47.35°, I = 30; 47.97°, I = 32; 56.63°, I = 24; 56.91°, I = 14

=====

[2]
Starting from DFT lattice parameters and positions (PBE), the powder diffractogram of U2TlSe6 was simulated for Cu Kα (λ = 1.5418 Å).

Structure:
```
U2TlSe6
1.0
-2.0284 2.7593 11.0378
2.0284 -2.7593 11.0378
2.0284 2.7593 -11.0378
U Tl Se
2 1 6
direct
0.1804 0.1804 0.0000 U
0.8196 0.8196 0.0000 U
0.5000 0.0000 0.5000 Tl
0.1408 0.3944 0.7464 Se
0.2744 0.7744 0.5000 Se
0.3520 0.6056 0.7464 Se
0.6480 0.3944 0.2536 Se
0.7256 0.2256 0.5000 Se
0.8592 0.6056 0.2536 Se
```

Most intense lines, 2θ from 5° to 70°, by angle:
8.01°, I = 27; 20.11°, I = 84; 28.48°, I = 26; 29.91°, I = 100; 31.82°, I = 28; 39.72°, I = 42; 40.23°, I = 21; 40.88°, I = 31; 42.89°, I = 36; 44.68°, I = 31